1.
Diffraction record for Sr3CaIrO6. The powder diffraction line list is theoretical, not measured: it uses a structure optimized by DFT (GGA-PBE) and Cu Kα, 1.54184 Å.
No peak broadening, texture or thermal motion is included.

Cell and atoms:
abc: 9.8322 9.8322 11.5795
angles: 90.00 90.00 120.00
Space group R-3c (No. 167, hexagonal axes)
Symmetry-distinct sites (fractional):
Sr (0.0000, 0.3637, 0.2500) x18
Ca (0.0000, 0.0000, 0.2500) x6
Ir (0.0000, 0.0000, 0.0000) x6
O (0.0241, 0.1802, 0.3944) x36

The 10 most intense peaks (10 to 90 degrees two-theta), sorted by position:
4.916 Å, 2θ = 18.04°, rel. 30
4.788 Å, 2θ = 18.53°, rel. 68
3.036 Å, 2θ = 29.42°, rel. 49
2.838 Å, 2θ = 31.52°, rel. 100
2.394 Å, 2θ = 37.57°, rel. 28
2.187 Å, 2θ = 41.29°, rel. 27
2.152 Å, 2θ = 41.98°, rel. 35
2.073 Å, 2θ = 43.66°, rel. 31
1.796 Å, 2θ = 50.83°, rel. 20
1.619 Å, 2θ = 56.86°, rel. 24



2.
Diffraction record for Ca4P7Ir8. The powder diffraction line list is theoretical, not measured: it uses a structure optimized by DFT (GGA-PBE) and Cu Kα, 1.54184 Å.
No peak broadening, texture or thermal motion is included.

Cell and atoms:
abc: 12.6339 3.9825 13.1700
angles: 90.00 98.92 90.00
Space group P2_1/m (No. 11)
Symmetry-distinct sites (fractional):
Ca (0.0146, 0.2500, 0.2088) x2
Ca (0.2167, 0.7500, 0.6054) x2
Ca (0.2858, 0.7500, 0.9342) x2
Ca (0.3962, 0.7500, 0.2926) x2
P (0.0286, 0.2500, 0.6282) x2
P (0.1103, 0.2500, 0.9377) x2
P (0.1903, 0.7500, 0.1882) x2
P (0.2415, 0.2500, 0.4204) x2
P (0.3450, 0.2500, 0.7808) x2
P (0.4087, 0.2500, 0.0876) x2
P (0.4437, 0.7500, 0.5994) x2
Ir (0.0540, 0.2500, 0.4518) x2
Ir (0.0767, 0.7500, 0.0275) x2
Ir (0.1607, 0.7500, 0.3580) x2
Ir (0.1630, 0.2500, 0.7728) x2
Ir (0.2286, 0.2500, 0.1042) x2
Ir (0.4169, 0.2500, 0.5011) x2
Ir (0.4388, 0.7500, 0.7740) x2
Ir (0.4860, 0.2500, 0.9250) x2

The 10 most intense peaks (10 to 90 degrees two-theta), sorted by position:
4.309 Å, 2θ = 20.61°, rel. 100
4.158 Å, 2θ = 21.37°, rel. 75
2.925 Å, 2θ = 30.56°, rel. 99
2.887 Å, 2θ = 30.98°, rel. 95
2.875 Å, 2θ = 31.11°, rel. 100
2.554 Å, 2θ = 35.14°, rel. 75
2.523 Å, 2θ = 35.59°, rel. 60
2.470 Å, 2θ = 36.38°, rel. 94
2.440 Å, 2θ = 36.84°, rel. 55
1.991 Å, 2θ = 45.56°, rel. 90



3.
Diffraction record for Ca2P7Ir12. The powder diffraction line list is theoretical, not measured: it uses a structure optimized by DFT (GGA-PBE) and Cu Kα, 1.54184 Å.
No peak broadening, texture or thermal motion is included.

Cell and atoms:
abc: 9.5995 9.5995 3.9484
angles: 90.00 90.00 120.00
Space group P-3 (No. 147)
Symmetry-distinct sites (fractional):
Ca (0.3333, 0.6667, 0.2494) x2
P (0.0000, 0.0000, 0.0000) x1
P (0.1244, 0.4104, 0.7462) x6
Ir (0.0656, 0.6165, 0.7500) x6
Ir (0.1037, 0.8431, 0.2549) x6

The 10 most intense peaks (10 to 90 degrees two-theta), sorted by position:
4.800 Å, 2θ = 18.49°, rel. 21
3.142 Å, 2θ = 28.40°, rel. 19
2.459 Å, 2θ = 36.55°, rel. 100
1.991 Å, 2θ = 45.56°, rel. 17
1.974 Å, 2θ = 45.97°, rel. 17
1.907 Å, 2θ = 47.68°, rel. 18
1.814 Å, 2θ = 50.30°, rel. 20
1.372 Å, 2θ = 68.39°, rel. 11
1.336 Å, 2θ = 70.50°, rel. 14
1.137 Å, 2θ = 85.35°, rel. 12



4.
Diffraction record for Ca5P12Ir19. The powder diffraction line list is theoretical, not measured: it uses a structure optimized by DFT (GGA-PBE) and Cu Kα, 1.54184 Å.
No peak broadening, texture or thermal motion is included.

Cell and atoms:
abc: 12.6833 12.6833 4.0004
angles: 90.00 90.00 120.00
Space group P-62m (No. 189)
Symmetry-distinct sites (fractional):
Ca (0.0000, 0.1824, 0.0000) x3
Ca (0.3333, 0.6667, 0.5000) x2
P (0.0000, 0.3580, 0.5000) x3
P (0.0000, 0.8195, 0.5000) x3
P (0.1731, 0.6887, 0.0000) x6
Ir (0.0000, 0.0000, 0.5000) x1
Ir (0.0000, 0.5385, 0.5000) x3
Ir (0.0000, 0.7127, 0.0000) x3
Ir (0.1305, 0.4918, 0.0000) x6
Ir (0.1806, 0.8025, 0.5000) x6

The 10 most intense peaks (10 to 90 degrees two-theta), sorted by position:
6.342 Å, 2θ = 13.96°, rel. 22
4.152 Å, 2θ = 21.40°, rel. 20
3.171 Å, 2θ = 28.14°, rel. 18
2.881 Å, 2θ = 31.04°, rel. 24
2.485 Å, 2θ = 36.15°, rel. 100
2.424 Å, 2θ = 37.09°, rel. 15
2.000 Å, 2θ = 45.34°, rel. 22
1.926 Å, 2θ = 47.20°, rel. 24
1.806 Å, 2θ = 50.54°, rel. 15
1.341 Å, 2θ = 70.20°, rel. 15



5.
Diffraction record for CaSi7Ir3. The powder diffraction line list is theoretical, not measured: it uses a structure optimized by DFT (GGA-PBE) and Cu Kα, 1.54184 Å.
No peak broadening, texture or thermal motion is included.

Cell and atoms:
abc: 7.6386 7.6386 20.1323
angles: 90.00 90.00 120.00
Space group R-3c (No. 167, hexagonal axes)
Symmetry-distinct sites (fractional):
Ca (0.0000, 0.0000, 0.0000) x6
Si (0.0000, 0.0000, 0.2500) x6
Si (0.0132, 0.2037, 0.1370) x36
Ir (0.0000, 0.3204, 0.2500) x18

The 10 most intense peaks (10 to 90 degrees two-theta), sorted by position:
3.819 Å, 2θ = 23.29°, rel. 16
3.355 Å, 2θ = 26.57°, rel. 19
3.319 Å, 2θ = 26.86°, rel. 100
2.521 Å, 2θ = 35.62°, rel. 20
2.205 Å, 2θ = 40.93°, rel. 28
1.930 Å, 2θ = 47.08°, rel. 34
1.843 Å, 2θ = 49.46°, rel. 30
1.837 Å, 2θ = 49.63°, rel. 28
1.411 Å, 2θ = 66.22°, rel. 18
1.335 Å, 2θ = 70.53°, rel. 14



6.
Diffraction record for Ca2SiIr2. The powder diffraction line list is theoretical, not measured: it uses a structure optimized by DFT (GGA-PBE) and Cu Kα, 1.54184 Å.
No peak broadening, texture or thermal motion is included.

Cell and atoms:
abc: 9.7601 5.8589 7.3357
angles: 90.00 100.40 90.00
Space group C2/c (No. 15)
Symmetry-distinct sites (fractional):
Ca (0.1463, 0.1297, 0.1402) x8
Si (0.0000, 0.4345, 0.7500) x4
Ir (0.1323, 0.3578, 0.5099) x8

The 10 most intense peaks (10 to 90 degrees two-theta), sorted by position:
5.001 Å, 2θ = 17.74°, rel. 80
4.304 Å, 2θ = 20.64°, rel. 90
3.940 Å, 2θ = 22.56°, rel. 64
3.608 Å, 2θ = 24.68°, rel. 87
2.805 Å, 2θ = 31.91°, rel. 32
2.435 Å, 2θ = 36.92°, rel. 100
2.409 Å, 2θ = 37.33°, rel. 29
2.400 Å, 2θ = 37.47°, rel. 48
2.297 Å, 2θ = 39.22°, rel. 86
2.189 Å, 2θ = 41.25°, rel. 40



7.
Diffraction record for CaSn2Ir. The powder diffraction line list is theoretical, not measured: it uses a structure optimized by DFT (GGA-PBE) and Cu Kα, 1.54184 Å.
No peak broadening, texture or thermal motion is included.

Cell and atoms:
abc: 4.3501 10.9334 7.6667
angles: 90.00 90.00 90.00
Space group Cmcm (No. 63)
Symmetry-distinct sites (fractional):
Ca (0.0000, 0.0678, 0.2500) x4
Sn (0.0000, 0.3558, 0.0465) x8
Ir (0.0000, 0.2123, 0.7500) x4

The 10 most intense peaks (10 to 90 degrees two-theta), sorted by position:
5.467 Å, 2θ = 16.21°, rel. 100
4.451 Å, 2θ = 19.95°, rel. 47
3.575 Å, 2θ = 24.90°, rel. 46
2.781 Å, 2θ = 32.18°, rel. 87
2.625 Å, 2θ = 34.16°, rel. 77
2.575 Å, 2θ = 34.85°, rel. 42
2.258 Å, 2θ = 39.93°, rel. 99
2.226 Å, 2θ = 40.53°, rel. 44
2.175 Å, 2θ = 41.52°, rel. 57
2.160 Å, 2θ = 41.82°, rel. 97



8.
Diffraction record for KCaLaSeO6. The powder diffraction line list is theoretical, not measured: it uses a structure optimized by DFT (GGA-PBE) and Cu Kα, 1.54184 Å.
No peak broadening, texture or thermal motion is included.

Cell and atoms:
abc: 8.0789 8.0789 8.0789
angles: 90.00 90.00 90.00
Space group F-43m (No. 216)
Symmetry-distinct sites (fractional):
K (0.0000, 0.0000, 0.0000) x4
Ca (0.2500, 0.2500, 0.7500) x4
La (0.0000, 0.0000, 0.5000) x4
Se (0.2500, 0.2500, 0.2500) x4
O (0.0253, 0.2500, 0.2500) x24

The 10 most intense peaks (10 to 90 degrees two-theta), sorted by position:
4.664 Å, 2θ = 19.03°, rel. 37
2.856 Å, 2θ = 31.32°, rel. 100
2.436 Å, 2θ = 36.90°, rel. 18
2.332 Å, 2θ = 38.61°, rel. 11
2.020 Å, 2θ = 44.88°, rel. 37
1.853 Å, 2θ = 49.16°, rel. 8
1.649 Å, 2θ = 55.74°, rel. 37
1.555 Å, 2θ = 59.45°, rel. 8
1.428 Å, 2θ = 65.34°, rel. 21
1.277 Å, 2θ = 74.24°, rel. 17